Theoretical powder XRD pattern
Compound: LuInAsO
Radiation: CuKα
Structure: a GGA-PBE-relaxed structure

Principal peaks in the range 2θ = 5–70°, by angle:
hkl 1 0 2, 2θ 28.79, 3.101 Å, rel. 95.9
hkl 1 1 1, 2θ 32.70, 2.738 Å, rel. 100.0
hkl 1 0 3, 2θ 35.60, 2.522 Å, rel. 83.7
hkl 2 0 0, 2θ 44.90, 2.019 Å, rel. 58.4
hkl 2 1 2, 2θ 54.22, 1.692 Å, rel. 33.1
hkl 2 1 3, 2θ 58.57, 1.576 Å, rel. 39.8

Atomic structure:
```
data_LuInAsO
_chemical_formula_sum 'Lu2 In2 As2 O2'
_cell_length_a 4.037
_cell_length_b 4.037
_cell_length_c 9.688
_cell_angle_alpha 90.00
_cell_angle_beta 90.00
_cell_angle_gamma 90.00
_space_group_name_H-M_alt 'P 4/n m m'
_space_group_IT_number 129
loop_
_space_group_symop_operation_xyz
'x,y,z'
'-x,-y,-z'
'-y+1/2,x,z'
'y+1/2,-x,-z'
'-x+1/2,-y+1/2,z'
'x+1/2,y+1/2,-z'
'y,-x+1/2,z'
'-y,x+1/2,-z'
'x+1/2,-y,-z'
'-x+1/2,y,z'
'-y,-x,-z'
'y,x,z'
'-x,y+1/2,-z'
'x,-y+1/2,z'
'y+1/2,x+1/2,-z'
'-y+1/2,-x+1/2,z'
loop_
_atom_site_label
_atom_site_fract_x
_atom_site_fract_y
_atom_site_fract_z
Lu1 0.250 0.250 0.099
In1 0.250 0.750 0.500
As1 0.250 0.250 0.724
O1 0.250 0.750 0.000
```